Record 1
# Ce2PmCd2Hg2
Simulated powder diffractogram, Cu Kα (λ = 1.5418 Å). Input: a structure optimized by DFT (PBE).
Peak positions follow from Bragg's law for the DFT cell and can differ from measured ones.

Top 10 peaks for 2θ from 10° to 90°, low angle first:
2θ/deg	I_rel
32.1	100.0
34.0	81.8
36.8	32.7
38.6	26.5
39.6	29.9
51.9	11.0
55.2	22.6
56.5	17.2
62.2	12.4
67.2	21.9

Crystal structure
Cell: 5.579 5.579 7.909 Å, 96.08 96.08 48.11°
Atoms (fractional coordinates):
Ce: 0.119 0.119 0.437
Ce: 0.881 0.881 0.563
Pm: 0.000 0.000 0.000
Cd: 0.403 0.403 0.264
Cd: 0.597 0.597 0.736
Hg: 0.291 0.291 0.839
Hg: 0.709 0.709 0.161

---

Record 2
# NdZn2Hg
Simulated powder diffractogram, Cu Kα (λ = 1.5418 Å). Input: a structure optimized by DFT (PBE).
Peak positions follow from Bragg's law for the DFT cell and can differ from measured ones.

Top 10 peaks for 2θ from 10° to 90°, low angle first:
2θ/deg	I_rel
26.1	45.9
30.9	67.6
32.3	68.3
33.3	100.0
37.9	37.3
39.0	72.0
40.5	85.8
48.1	38.5
51.5	39.2
64.6	42.6

Crystal structure
Cell: 10.356 10.356 4.615 Å, 90.00 90.00 158.95°
Atoms (fractional coordinates):
Nd: 0.098 0.902 0.750
Nd: 0.902 0.098 0.250
Zn: 0.263 0.737 0.250
Zn: 0.473 0.527 0.750
Zn: 0.527 0.473 0.250
Zn: 0.737 0.263 0.750
Hg: 0.338 0.662 0.750
Hg: 0.662 0.338 0.250